Theoretical powder diffractogram
Compound: Th2Ag3Pb
Radiation: Cu Kα
Structure: a DFT-relaxed cell (GGA-PBE, Alexandria)

Peak list (10 most intense, 2θ from 10° to 80°, in order of rising 2θ)
(hkl)  d_spacing  Rel. int.
0 2 2  4.312  9
2 0 4  2.697  100
0 4 0  2.490  77
2 4 4  1.829  32
4 0 0  1.728  8
2 6 2  1.475  21
2 2 10  1.473  11
0 6 6  1.438  9
4 4 0  1.419  26
0 4 12  1.244  6

Structural model:
```
data_Th2Ag3Pb
_chemical_formula_sum 'Th16 Ag24 Pb8'
_cell_length_a 6.9111
_cell_length_b 9.9701
_cell_length_c 17.2294
_cell_angle_alpha 90.00
_cell_angle_beta 90.00
_cell_angle_gamma 90.00
_symmetry_space_group_name_H-M 'F m m m'
_symmetry_Int_Tables_number 69
_symmetry_space_group_name_Hall '-F 2 2'
loop_
_atom_site_label
_atom_site_type_symbol
_atom_site_fract_x
_atom_site_fract_y
_atom_site_fract_z
Th1 Th 0.2388 0.0000 0.0000
Th2 Th 0.2500 0.2500 0.2500
Ag1 Ag 0.0000 0.0000 0.1632
Ag2 Ag 0.0000 0.2458 0.0816
Pb1 Pb 0.0000 0.0000 0.3345
```



Theoretical powder diffractogram
Compound: TiAgPb
Radiation: Cu Kα
Structure: a DFT-relaxed cell (GGA-PBE, Alexandria)

Peak list (10 most intense, 2θ from 10° to 80°, in order of rising 2θ)
(hkl)  d_spacing  Rel. int.
2 0 -1  5.693  41
2 0 1  3.303  48
1 1 -1  2.899  79
4 0 -3  2.469  100
0 0 3  2.341  35
3 1 -2  2.320  57
3 1 0  2.259  23
1 1 2  2.106  45
5 1 -1  1.813  25
4 2 -3  1.314  25

Structural model:
```
data_TiAgPb
_chemical_formula_sum 'Ti4 Ag4 Pb4'
_cell_length_a 11.6289
_cell_length_b 3.1052
_cell_length_c 8.2659
_cell_angle_alpha 90.00
_cell_angle_beta 121.83
_cell_angle_gamma 90.00
_symmetry_space_group_name_H-M 'C 1 2/m 1'
_symmetry_Int_Tables_number 12
_symmetry_space_group_name_Hall '-C 2y'
loop_
_atom_site_label
_atom_site_type_symbol
_atom_site_fract_x
_atom_site_fract_y
_atom_site_fract_z
Ti1 Ti 0.1505 0.0000 0.3362
Ag1 Ag 0.0975 0.5000 0.9603
Pb1 Pb 0.1379 0.0000 0.6899
```



Theoretical powder diffractogram
Compound: Tl2AgPb
Radiation: Cu Kα
Structure: a DFT-relaxed cell (GGA-PBE, Alexandria)

Peak list (10 most intense, 2θ from 10° to 80°, in order of rising 2θ)
(hkl)  d_spacing  Rel. int.
1 0 1  4.299  5
1 1 2  2.756  100
2 0 0  2.428  35
0 0 4  2.308  15
2 2 0  1.717  12
2 0 4  1.673  23
3 1 2  1.457  29
1 1 6  1.404  13
2 2 4  1.378  12
4 0 0  1.214  4

Structural model:
```
data_Tl2AgPb
_chemical_formula_sum 'Tl4 Ag2 Pb2'
_cell_length_a 4.8569
_cell_length_b 4.8569
_cell_length_c 9.2337
_cell_angle_alpha 90.00
_cell_angle_beta 90.00
_cell_angle_gamma 90.00
_symmetry_space_group_name_H-M 'I 4/m m m'
_symmetry_Int_Tables_number 139
_symmetry_space_group_name_Hall '-I 4 2'
loop_
_atom_site_label
_atom_site_type_symbol
_atom_site_fract_x
_atom_site_fract_y
_atom_site_fract_z
Tl1 Tl 0.0000 0.5000 0.2500
Ag1 Ag 0.0000 0.0000 0.0000
Pb1 Pb 0.0000 0.0000 0.5000
```



Theoretical powder diffractogram
Compound: TlAgPb
Radiation: Cu Kα
Structure: a DFT-relaxed cell (GGA-PBE, Alexandria)

Peak list (10 most intense, 2θ from 10° to 80°, in order of rising 2θ)
(hkl)  d_spacing  Rel. int.
1 0 -1  2.982  38
1 1 2  2.906  100
1 0 2  2.816  64
1 1 -1  2.796  77
1 -1 0  2.775  67
1 2 1  2.654  58
0 2 -1  2.554  67
0 2 2  2.461  57
0 0 3  2.394  58
2 1 1  1.888  44

Structural model:
```
data_TlAgPb
_chemical_formula_sum 'Tl2 Ag2 Pb2'
_cell_length_a 3.7793
_cell_length_b 6.1074
_cell_length_c 7.4909
_cell_angle_alpha 77.62
_cell_angle_beta 76.31
_cell_angle_gamma 74.49
_symmetry_space_group_name_H-M 'P 1'
_symmetry_Int_Tables_number 1
_symmetry_space_group_name_Hall 'P 1'
loop_
_atom_site_label
_atom_site_type_symbol
_atom_site_fract_x
_atom_site_fract_y
_atom_site_fract_z
Tl1 Tl 0.0000 0.0000 0.0000
Tl2 Tl 0.2412 0.0863 0.4019
Ag1 Ag 0.7005 0.8569 0.7162
Ag2 Ag 0.9556 0.6509 0.3831
Pb1 Pb 0.4126 0.4271 0.6940
Pb2 Pb 0.6515 0.5120 0.0970
```



Theoretical powder diffractogram
Compound: Tl2AgPb6
Radiation: Cu Kα
Structure: a DFT-relaxed cell (GGA-PBE, Alexandria)

Peak list (10 most intense, 2θ from 10° to 80°, in order of rising 2θ)
(hkl)  d_spacing  Rel. int.
1 1 1  2.863  100
-1 1 2  2.854  99
1 -2 1  2.829  96
1 2 -2  2.814  94
0 1 -3  2.519  69
2 0 -1  2.510  71
0 3 0  2.359  58
2 -1 2  1.784  25
-2 3 1  1.719  45
-3 1 3  1.505  44

Structural model:
```
data_Tl2AgPb6
_chemical_formula_sum 'Tl2 Ag1 Pb6'
_cell_length_a 5.0210
_cell_length_b 7.4683
_cell_length_c 7.9483
_cell_angle_alpha 107.61
_cell_angle_beta 108.02
_cell_angle_gamma 90.21
_symmetry_space_group_name_H-M 'P -1'
_symmetry_Int_Tables_number 2
_symmetry_space_group_name_Hall '-P 1'
loop_
_atom_site_label
_atom_site_type_symbol
_atom_site_fract_x
_atom_site_fract_y
_atom_site_fract_z
Tl1 Tl 0.2172 0.3307 0.4339
Ag1 Ag 0.0000 0.0000 0.0000
Pb1 Pb 0.1049 0.6818 0.2080
Pb2 Pb 0.3325 0.9959 0.6667
Pb3 Pb 0.4504 0.6809 0.8957
```



Theoretical powder diffractogram
Compound: TlAgPb4
Radiation: Cu Kα
Structure: a DFT-relaxed cell (GGA-PBE, Alexandria)

Peak list (10 most intense, 2θ from 10° to 80°, in order of rising 2θ)
(hkl)  d_spacing  Rel. int.
0 2 0  3.545  34
2 0 -1  3.013  75
1 2 0  2.817  75
-1 2 1  2.743  100
1 0 2  2.738  79
0 3 -2  2.642  26
1 0 -3  2.627  35
2 -2 1  2.324  43
0 4 -2  2.013  23
2 -4 1  1.673  25

Structural model:
```
data_TlAgPb4
_chemical_formula_sum 'Tl2 Ag2 Pb8'
_cell_length_a 6.0338
_cell_length_b 8.0518
_cell_length_c 8.8926
_cell_angle_alpha 116.90
_cell_angle_beta 107.17
_cell_angle_gamma 90.05
_symmetry_space_group_name_H-M 'P -1'
_symmetry_Int_Tables_number 2
_symmetry_space_group_name_Hall '-P 1'
loop_
_atom_site_label
_atom_site_type_symbol
_atom_site_fract_x
_atom_site_fract_y
_atom_site_fract_z
Tl1 Tl 0.1841 0.2040 0.4082
Ag1 Ag 0.2605 0.4877 0.9756
Pb1 Pb 0.9996 0.1965 0.0001
Pb2 Pb 0.1920 0.6745 0.3490
Pb3 Pb 0.4046 0.1057 0.7607
Pb4 Pb 0.4049 0.6550 0.7608
```